Theoretical X-ray powder pattern of CsNi2F6 for copper Kα, from a structure optimized by DFT (GGA+U).
Neutral-atom scattering factors, no anomalous dispersion.

Largest 6 diffraction maxima, by intensity, 2θ = 15–90°:
d (Å)  Position (°2θ)  I (rel.)
3.106  28.7  100
1.821  50.1  37
3.642  24.4  33
1.982  45.8  31
1.341  70.2  23
2.974  30.1  19

```
CsNi2F6
1.0
0.0000 5.1507 5.1507
5.1507 0.0000 5.1507
5.1507 5.1507 0.0000
Cs Ni F
2 4 12
Cartesian
1.2877 1.2877 1.2877
9.0136 9.0136 9.0136
5.1507 2.5753 2.5753
2.5753 5.1507 2.5753
2.5753 2.5753 5.1507
5.1507 5.1507 5.1507
3.8630 3.8630 1.8644
3.8630 1.8644 3.8630
5.8615 3.8630 3.8630
6.4383 6.4383 4.4398
6.4383 4.4398 6.4383
8.4369 6.4383 6.4383
1.8644 3.8630 3.8630
3.8630 5.8615 3.8630
3.8630 3.8630 5.8615
4.4398 6.4383 6.4383
6.4383 8.4369 6.4383
6.4383 6.4383 8.4369
```